1.
Starting from the GGA-PBE geometry in Alexandria, the XRD peak list of Ac6SmCd was calculated for Cu Kα (λ = 1.5418 Å).

Structural model:
```
data_Ac6SmCd
_cell_length_a 5.5011
_cell_length_b 5.5011
_cell_length_c 21.2965
_cell_angle_alpha 90.00
_cell_angle_beta 90.00
_cell_angle_gamma 90.00
_symmetry_space_group_name_H-M 'I 4/m m m'
_symmetry_Int_Tables_number 139
_symmetry_space_group_name_Hall '-I 4 2'
loop_
_atom_site_label
_atom_site_fract_x
_atom_site_fract_y
_atom_site_fract_z
Ac1 0.0000 0.0000 0.2500
Ac2 0.0000 0.5000 0.1158
Sm1 0.0000 0.0000 0.0000
Cd1 0.0000 0.0000 0.5000
```

Main lines, low angle first (10° ≤ 2θ ≤ 80°):
28.42°, I 100; 32.55°, I 36; 33.67°, I 15; 46.70°, I 14; 47.53°, I 23; 55.58°, I 32; 57.04°, I 12; 58.80°, I 12; 75.46°, I 7; 76.71°, I 10

---

2.
Starting from the GGA-PBE geometry in Alexandria, the XRD peak list of Ac2Cd8Sn was calculated for Cu Kα (λ = 1.5418 Å).

Structural model:
```
data_Ac2Cd8Sn
_cell_length_a 6.0270
_cell_length_b 6.1265
_cell_length_c 9.4604
_cell_angle_alpha 87.29
_cell_angle_beta 71.72
_cell_angle_gamma 65.83
_symmetry_space_group_name_H-M 'P -1'
_symmetry_Int_Tables_number 2
_symmetry_space_group_name_Hall '-P 1'
loop_
_atom_site_label
_atom_site_fract_x
_atom_site_fract_y
_atom_site_fract_z
Ac1 0.1468 0.2848 0.1816
Cd1 0.2407 0.7602 0.0022
Cd2 0.2462 0.0591 0.7419
Cd3 0.3371 0.3570 0.4869
Cd4 0.4822 0.6492 0.2373
Sn1 0.0000 0.0000 0.5000
```

Main lines, low angle first (10° ≤ 2θ ≤ 80°):
27.92°, I 20; 29.73°, I 24; 31.32°, I 20; 31.58°, I 55; 31.99°, I 100; 32.78°, I 18; 34.25°, I 24; 35.64°, I 51; 35.81°, I 16; 40.34°, I 25

---

3.
Starting from the GGA-PBE geometry in Alexandria, the XRD peak list of Ac5CdSn3 was calculated for Cu Kα (λ = 1.5418 Å).

Structural model:
```
data_Ac5CdSn3
_cell_length_a 10.1572
_cell_length_b 10.1572
_cell_length_c 7.2285
_cell_angle_alpha 90.00
_cell_angle_beta 90.00
_cell_angle_gamma 120.00
_symmetry_space_group_name_H-M 'P 63/m c m'
_symmetry_Int_Tables_number 193
_symmetry_space_group_name_Hall '-P 6c 2'
loop_
_atom_site_label
_atom_site_fract_x
_atom_site_fract_y
_atom_site_fract_z
Ac1 0.0000 0.2849 0.2500
Ac2 0.3333 0.6667 0.0000
Cd1 0.0000 0.0000 0.0000
Sn1 0.0000 0.3723 0.7500
```

Main lines, low angle first (10° ≤ 2θ ≤ 80°):
21.38°, I 11; 29.57°, I 34; 30.35°, I 100; 30.49°, I 86; 43.56°, I 32; 46.55°, I 10; 46.73°, I 11; 54.12°, I 33; 59.93°, I 12; 60.15°, I 26